The following is a calculated X-ray diffraction stick pattern of Pu2Si3Ru5. It was derived from the PBE geometry in Alexandria, using Cu Kα, 1.54184 Å.
Neutral-atom scattering factors, no anomalous dispersion.

Largest 10 diffraction maxima, most intense first, 2θ = 10–90°:
37.65°, I = 100
36.57°, I = 58
39.61°, I = 40
44.41°, I = 39
35.87°, I = 26
39.21°, I = 26
24.35°, I = 21
70.73°, I = 21
45.56°, I = 16
60.70°, I = 15

Structural model:
```
data_Pu2Si3Ru5
_chemical_formula_sum 'Pu4 Si6 Ru10'
_space_group_name_H-M_alt 'P 1'
_space_group_IT_number 1
_cell_length_a 12.5023
_cell_length_b 12.5023
_cell_length_c 6.3118
_cell_angle_alpha 90.00
_cell_angle_beta 90.00
_cell_angle_gamma 161.21
loop_
_space_group_symop_operation_xyz
'x,y,z'
loop_
_atom_site_label
_atom_site_type_symbol
_atom_site_fract_x
_atom_site_fract_y
_atom_site_fract_z
Pu1 Pu 0.0128 0.9872 0.5000
Pu2 Pu 0.3255 0.6745 0.5228
Pu3 Pu 0.6745 0.3255 0.0228
Pu4 Pu 0.9872 0.0128 0.0000
Si1 Si 0.1112 0.8888 0.2781
Si2 Si 0.2730 0.7270 0.0261
Si3 Si 0.4437 0.5563 0.2803
Si4 Si 0.5563 0.4437 0.7803
Si5 Si 0.7270 0.2730 0.5261
Si6 Si 0.8888 0.1112 0.7781
Ru1 Ru 0.1038 0.8962 0.8641
Ru2 Ru 0.2069 0.7931 0.7383
Ru3 Ru 0.2083 0.7917 0.3169
Ru4 Ru 0.3701 0.6299 0.0166
Ru5 Ru 0.4456 0.5544 0.6720
Ru6 Ru 0.5544 0.4456 0.1720
Ru7 Ru 0.6299 0.3701 0.5166
Ru8 Ru 0.7917 0.2083 0.8169
Ru9 Ru 0.7931 0.2069 0.2383
Ru10 Ru 0.8962 0.1038 0.3641
```